The following is a simulated powder X-ray diffraction pattern of YWN3. It was derived from a PBE-relaxed structure, using Cu Kα (weighted mean of Kα1 and Kα2).

Structural model:
```
data_YWN3
_space_group_name_H-M_alt 'P 1'
_space_group_IT_number 1
_cell_length_a 3.595
_cell_length_b 6.015
_cell_length_c 6.136
_cell_angle_alpha 90.00
_cell_angle_beta 90.00
_cell_angle_gamma 90.00
loop_
_space_group_symop_operation_xyz
'x,y,z'
loop_
_atom_site_label
_atom_site_type_symbol
_atom_site_fract_x
_atom_site_fract_y
_atom_site_fract_z
Y1 Y 0.000 0.153 0.000
Y2 Y 0.000 0.847 0.500
W1 W 0.500 0.309 0.530
W2 W 0.500 0.691 0.030
N1 N 0.000 0.228 0.628
N2 N 0.000 0.772 0.128
N3 N 0.500 0.107 0.297
N4 N 0.500 0.415 0.906
N5 N 0.500 0.585 0.406
N6 N 0.500 0.893 0.797
```

Peak list (10 most intense, 10° ≤ 2θ ≤ 80°, most intense first)
h k l	2θ (°)	I/Imax
1 1 1	32.5	100.0
0 0 2	29.1	43.1
0 2 1	33.2	34.0
0 1 1	20.7	31.5
1 1 3	53.8	26.6
1 3 2	60.9	20.0
1 1 0	28.9	19.1
0 2 0	29.7	17.2
1 1 2	41.5	15.9
1 3 0	52.2	15.8

=====

The following is a simulated powder X-ray diffraction pattern of AgPb3. It was derived from a PBE-relaxed structure, using Cu Kα (weighted mean of Kα1 and Kα2).

Structural model:
```
data_AgPb3
_space_group_name_H-M_alt 'P 1'
_space_group_IT_number 1
_cell_length_a 6.906
_cell_length_b 6.906
_cell_length_c 5.564
_cell_angle_alpha 90.00
_cell_angle_beta 90.00
_cell_angle_gamma 120.00
loop_
_space_group_symop_operation_xyz
'x,y,z'
loop_
_atom_site_label
_atom_site_type_symbol
_atom_site_fract_x
_atom_site_fract_y
_atom_site_fract_z
Ag1 Ag 0.333 0.667 0.250
Ag2 Ag 0.667 0.333 0.750
Pb1 Pb 0.171 0.342 0.750
Pb2 Pb 0.171 0.829 0.750
Pb3 Pb 0.342 0.171 0.250
Pb4 Pb 0.658 0.829 0.750
Pb5 Pb 0.829 0.171 0.250
Pb6 Pb 0.829 0.658 0.250
```

Peak list (10 most intense, 10° ≤ 2θ ≤ 80°, most intense first)
h k l	2θ (°)	I/Imax
2 0 1	34.0	100.0
0 0 2	32.2	25.9
2 0 0	29.9	23.3
2 2 2	63.4	22.3
2 0 3	58.6	21.4
2 2 0	53.0	19.0
2 0 2	44.5	16.0
4 0 1	64.5	15.8
1 0 1	21.8	6.0
4 0 2	71.7	3.9

=====

The following is a simulated powder X-ray diffraction pattern of Gd2GaAg. It was derived from a PBE-relaxed structure, using Cu Kα (weighted mean of Kα1 and Kα2).

Structural model:
```
data_Gd2GaAg
_space_group_name_H-M_alt 'P 1'
_space_group_IT_number 1
_cell_length_a 7.319
_cell_length_b 7.319
_cell_length_c 7.319
_cell_angle_alpha 90.00
_cell_angle_beta 90.00
_cell_angle_gamma 90.00
loop_
_space_group_symop_operation_xyz
'x,y,z'
loop_
_atom_site_label
_atom_site_type_symbol
_atom_site_fract_x
_atom_site_fract_y
_atom_site_fract_z
Gd1 Gd 0.250 0.250 0.250
Gd2 Gd 0.250 0.250 0.750
Gd3 Gd 0.250 0.750 0.250
Gd4 Gd 0.250 0.750 0.750
Gd5 Gd 0.750 0.250 0.250
Gd6 Gd 0.750 0.250 0.750
Gd7 Gd 0.750 0.750 0.250
Gd8 Gd 0.750 0.750 0.750
Ga1 Ga 0.000 0.000 0.000
Ga2 Ga 0.000 0.500 0.500
Ga3 Ga 0.500 0.000 0.500
Ga4 Ga 0.500 0.500 0.000
Ag1 Ag 0.000 0.000 0.500
Ag2 Ag 0.000 0.500 0.000
Ag3 Ag 0.500 0.000 0.000
Ag4 Ag 0.500 0.500 0.500
```

Peak list (10 most intense, 10° ≤ 2θ ≤ 80°, most intense first)
h k l	2θ (°)	I/Imax
2 2 0	34.7	100.0
4 2 2	62.1	36.1
4 0 0	49.8	17.7
4 4 0	73.1	11.1
2 0 0	24.3	7.5
4 2 0	56.2	3.4
2 2 2	42.8	2.4
6 0 0	78.4	1.7
1 1 1	21.0	1.5
3 1 1	40.9	0.8